# Dy3Er4Pd2S2
Simulated PXRD pattern, Cu Kα (weighted mean of Kα1 and Kα2). Input: a structure optimized by DFT (GGA-PBE).
Intensities are scaled so that the largest is 100.

Cell and atoms:
```
Dy3Er4Pd2S2
1.0
-1.9111 7.4757 4.6058
1.9111 -7.4757 4.6058
1.9111 7.4757 -4.6058
Dy Er Pd S
3 4 2 2
Direct
0.0000 0.0000 0.0000 Dy
0.4802 0.5960 0.8841 Dy
0.7119 0.5960 0.1159 Dy
0.0670 0.3860 0.6811 Er
0.1260 0.7569 0.3691 Er
0.3878 0.7569 0.6309 Er
0.7049 0.3860 0.3189 Er
0.3257 0.0875 0.2382 Pd
0.8493 0.0875 0.7618 Pd
0.3427 0.3427 0.0000 S
0.7529 0.2529 0.5000 S
```

Principal peaks in the range 5 to 70 degrees two-theta, by angle:
| two_theta | I (rel.) |
| --- | --- |
| 29.5 | 26 |
| 29.7 | 31 |
| 31.0 | 65 |
| 31.5 | 40 |
| 34.3 | 39 |
| 35.0 | 100 |
| 35.4 | 44 |
| 47.6 | 28 |

---

# Dy3Er4Pd2Se2
Simulated PXRD pattern, Cu Kα (weighted mean of Kα1 and Kα2). Input: a structure optimized by DFT (GGA-PBE).
Intensities are scaled so that the largest is 100.

Cell and atoms:
```
Dy3Er4Pd2Se2
1.0
-1.9325 7.6126 4.6820
1.9325 -7.6126 4.6820
1.9325 7.6126 -4.6820
Dy Er Pd Se
3 4 2 2
Direct
0.0000 0.0000 0.0000 Dy
0.4682 0.5896 0.8787 Dy
0.7109 0.5896 0.1213 Dy
0.0630 0.3812 0.6818 Er
0.1098 0.7463 0.3634 Er
0.3829 0.7463 0.6366 Er
0.6994 0.3812 0.3182 Er
0.3174 0.0797 0.2377 Pd
0.8421 0.0797 0.7623 Pd
0.3392 0.3392 0.0000 Se
0.7450 0.2450 0.5000 Se
```

Principal peaks in the range 5 to 70 degrees two-theta, by angle:
| two_theta | I (rel.) |
| --- | --- |
| 30.6 | 54 |
| 30.9 | 30 |
| 33.7 | 48 |
| 34.4 | 100 |
| 34.9 | 45 |
| 38.9 | 22 |
| 47.0 | 28 |
| 52.1 | 24 |

---

# Dy3Er4Te2Pd2
Simulated PXRD pattern, Cu Kα (weighted mean of Kα1 and Kα2). Input: a structure optimized by DFT (GGA-PBE).
Intensities are scaled so that the largest is 100.

Cell and atoms:
```
Dy3Er4Te2Pd2
1.0
-1.9640 7.8429 4.8029
1.9640 -7.8429 4.8029
1.9640 7.8429 -4.8029
Dy Er Te Pd
3 4 2 2
Direct
0.0000 0.0000 0.0000 Dy
0.0576 0.3755 0.6821 Dy
0.6934 0.3755 0.3179 Dy
0.0914 0.7357 0.3557 Er
0.3801 0.7357 0.6443 Er
0.4538 0.5827 0.8711 Er
0.7116 0.5827 0.1289 Er
0.3365 0.3365 0.0000 Te
0.7341 0.2341 0.5000 Te
0.3097 0.0715 0.2382 Pd
0.8332 0.0715 0.7618 Pd
```

Principal peaks in the range 5 to 70 degrees two-theta, by angle:
| two_theta | I (rel.) |
| --- | --- |
| 28.4 | 32 |
| 29.9 | 67 |
| 32.8 | 60 |
| 33.6 | 100 |
| 34.1 | 46 |
| 38.0 | 21 |
| 46.2 | 34 |
| 57.8 | 30 |

---

# Dy6ErTe2Pd2
Simulated PXRD pattern, Cu Kα (weighted mean of Kα1 and Kα2). Input: a structure optimized by DFT (GGA-PBE).
Intensities are scaled so that the largest is 100.

Cell and atoms:
```
Dy6ErTe2Pd2
1.0
-1.9679 7.8853 4.8314
1.9679 -7.8853 4.8314
1.9679 7.8853 -4.8314
Dy Er Te Pd
6 1 2 2
Direct
0.1287 0.0000 0.1287 Dy
0.2040 0.8477 0.3563 Dy
0.4914 0.8477 0.6437 Dy
0.5251 0.2066 0.3184 Dy
0.8713 0.0000 0.8713 Dy
0.8882 0.2066 0.6816 Dy
0.5831 0.5831 0.0000 Er
0.2473 0.2473 0.0000 Te
0.8469 0.3469 0.5000 Te
0.2741 0.5117 0.7624 Pd
0.7493 0.5117 0.2376 Pd
```

Principal peaks in the range 5 to 70 degrees two-theta, by angle:
| two_theta | I (rel.) |
| --- | --- |
| 28.3 | 32 |
| 29.8 | 68 |
| 32.6 | 59 |
| 33.5 | 100 |
| 34.0 | 46 |
| 37.9 | 22 |
| 46.1 | 34 |
| 57.6 | 30 |

---

# Dy3Er2Tm2Te2Pd2
Simulated PXRD pattern, Cu Kα (weighted mean of Kα1 and Kα2). Input: a structure optimized by DFT (GGA-PBE).
Intensities are scaled so that the largest is 100.

Cell and atoms:
```
Dy3Er2Tm2Te2Pd2
1.0
-1.9625 7.8269 4.8067
1.9625 -7.8269 4.8067
1.9625 7.8269 -4.8067
Dy Er Tm Te Pd
3 2 2 2 2
Direct
0.0000 0.0000 0.0000 Dy
0.4533 0.5824 0.8710 Dy
0.7114 0.5824 0.1290 Dy
0.0582 0.3752 0.6830 Er
0.6921 0.3752 0.3170 Er
0.0899 0.7337 0.3562 Tm
0.3775 0.7337 0.6438 Tm
0.3352 0.3352 0.0000 Te
0.7366 0.2366 0.5000 Te
0.3072 0.0716 0.2357 Pd
0.8359 0.0716 0.7643 Pd
```

Principal peaks in the range 5 to 70 degrees two-theta, by angle:
| two_theta | I (rel.) |
| --- | --- |
| 28.4 | 32 |
| 30.0 | 70 |
| 32.8 | 60 |
| 33.7 | 100 |
| 34.1 | 47 |
| 38.0 | 22 |
| 46.3 | 28 |
| 57.9 | 24 |

---

# Dy2ErTm4Te2Pd2
Simulated PXRD pattern, Cu Kα (weighted mean of Kα1 and Kα2). Input: a structure optimized by DFT (GGA-PBE).
Intensities are scaled so that the largest is 100.

Cell and atoms:
```
Dy2ErTm4Te2Pd2
1.0
-1.9558 7.8046 4.7731
1.9558 -7.8046 4.7731
1.9558 7.8046 -4.7731
Dy Er Tm Te Pd
2 1 4 2 2
Direct
0.1440 0.0000 0.1440 Dy
0.8560 0.0000 0.8560 Dy
0.7639 0.2639 0.5000 Er
0.2187 0.8483 0.3703 Tm
0.4570 0.6392 0.8179 Tm
0.4780 0.8483 0.6297 Tm
0.8213 0.6392 0.1821 Tm
0.1036 0.6036 0.5000 Te
0.4987 0.4987 0.0000 Te
0.0712 0.3329 0.7384 Pd
0.5945 0.3329 0.2616 Pd
```

Principal peaks in the range 5 to 70 degrees two-theta, by angle:
| two_theta | I (rel.) |
| --- | --- |
| 28.6 | 32 |
| 30.1 | 69 |
| 33.0 | 61 |
| 33.8 | 100 |
| 34.3 | 49 |
| 36.4 | 22 |
| 46.4 | 28 |
| 58.1 | 31 |

---

# Dy3Y2Er2Te2Pd2
Simulated PXRD pattern, Cu Kα (weighted mean of Kα1 and Kα2). Input: a structure optimized by DFT (GGA-PBE).
Intensities are scaled so that the largest is 100.

Cell and atoms:
```
Dy3Y2Er2Te2Pd2
1.0
-1.9684 7.8707 4.8060
1.9684 -7.8707 4.8060
1.9684 7.8707 -4.8060
Dy Y Er Te Pd
3 2 2 2 2
Direct
0.0000 0.0000 0.0000 Dy
0.2870 0.4154 0.8716 Dy
0.5438 0.4154 0.1284 Dy
0.6191 0.2626 0.3566 Y
0.9060 0.2626 0.6434 Y
0.3051 0.6227 0.6824 Er
0.9403 0.6227 0.3176 Er
0.2622 0.7622 0.5000 Te
0.6632 0.6632 0.0000 Te
0.1686 0.9304 0.2382 Pd
0.6922 0.9304 0.7618 Pd
```

Principal peaks in the range 5 to 70 degrees two-theta, by angle:
| two_theta | I (rel.) |
| --- | --- |
| 28.4 | 26 |
| 29.9 | 70 |
| 32.7 | 58 |
| 33.5 | 100 |
| 34.0 | 58 |
| 38.0 | 25 |
| 46.1 | 36 |
| 57.7 | 30 |

---

# DyErPt2
Simulated PXRD pattern, Cu Kα (weighted mean of Kα1 and Kα2). Input: a structure optimized by DFT (GGA-PBE).
Intensities are scaled so that the largest is 100.

Cell and atoms:
```
DyErPt2
1.0
4.4954 0.0000 0.0000
0.0000 5.5423 0.0000
0.0000 0.0000 6.9857
Dy Er Pt
2 2 4
Direct
0.0000 0.1090 0.0000 Dy
0.0000 0.8910 0.5000 Dy
0.5000 0.3912 0.6366 Er
0.5000 0.6088 0.1366 Er
0.0000 0.4071 0.3626 Pt
0.0000 0.5929 0.8626 Pt
0.5000 0.0946 0.2746 Pt
0.5000 0.9054 0.7746 Pt
```

Principal peaks in the range 5 to 70 degrees two-theta, by angle:
| two_theta | I (rel.) |
| --- | --- |
| 32.5 | 71 |
| 34.8 | 44 |
| 36.4 | 100 |
| 40.1 | 51 |
| 40.4 | 89 |
| 42.1 | 21 |
| 54.2 | 25 |
| 55.1 | 23 |